Record 1
The following is a theoretical powder X-ray diffraction pattern of TbPrInAg. It was derived from DFT lattice parameters and positions (PBE), using Cu Kα (λ = 1.5418 Å).
Lines closer than 0.1° are merged.

Main lines, low angle first (2θ = 10–90°):
- 33.16 deg, I 1000
- 34.33 deg, I 473
- 45.82 deg, I 89
- 49.34 deg, I 168
- 58.49 deg, I 171
- 60.75 deg, I 341
- 69.61 deg, I 100
- 82.59 deg, I 74

Structure:
```
TbPrInAg
1.0
3.694 0.000 0.000
0.000 3.694 0.000
0.000 0.000 7.921
Tb Pr In Ag
1 1 1 1
Cartesian
0.000 0.000 0.000
0.000 0.000 3.771
1.847 1.847 5.918
1.847 1.847 1.672
```

---

Record 2
The following is a theoretical powder X-ray diffraction pattern of ZrFeBr2. It was derived from DFT lattice parameters and positions (PBE), using Cu Kα (λ = 1.5418 Å).
Lines closer than 0.1° are merged.

Main lines, low angle first (2θ = 10–90°):
- 10.56 deg, I 953
- 28.74 deg, I 375
- 34.30 deg, I 1000
- 38.04 deg, I 931
- 42.15 deg, I 980
- 54.90 deg, I 309
- 66.35 deg, I 271
- 71.55 deg, I 387

Structure:
```
ZrFeBr2
1.0
3.345 0.000 0.000
0.000 3.345 0.000
0.000 0.000 8.380
Zr Fe Br
1 1 2
Cartesian
0.000 0.000 0.000
1.672 1.672 6.782
0.000 0.000 5.540
1.672 1.672 1.896
```

---

Record 3
The following is a theoretical powder X-ray diffraction pattern of TbH3. It was derived from DFT lattice parameters and positions (PBE), using Cu Kα (λ = 1.5418 Å).
Lines closer than 0.1° are merged.

Main lines, low angle first (2θ = 10–90°):
- 27.04 deg, I 331
- 28.14 deg, I 224
- 31.30 deg, I 1000
- 39.42 deg, I 176
- 49.80 deg, I 194
- 50.52 deg, I 276
- 57.58 deg, I 243
- 60.01 deg, I 159

Structure:
```
TbH3
1.0
6.342 0.000 0.000
-3.171 5.493 0.000
0.000 0.000 6.594
Tb H
6 18
Cartesian
-1.068 1.849 1.649
-2.103 3.643 4.946
2.135 0.000 1.649
1.068 1.849 4.946
4.207 0.000 4.946
2.103 3.643 1.649
0.000 0.000 1.649
0.000 0.000 4.946
-0.931 1.922 3.908
-1.972 3.726 0.611
0.931 1.922 0.611
-1.041 5.338 3.908
0.000 3.662 2.096
0.000 3.662 5.393
2.130 0.155 5.983
1.199 1.767 2.686
1.972 3.726 3.908
1.041 5.338 0.611
3.171 1.831 1.201
3.171 1.831 4.498
4.213 0.155 2.686
2.240 3.571 5.983
5.143 1.767 5.983
4.102 3.571 2.686
```

---

Record 4
The following is a theoretical powder X-ray diffraction pattern of Rb2PPdF6. It was derived from DFT lattice parameters and positions (PBE), using Cu Kα (λ = 1.5418 Å).
Lines closer than 0.1° are merged.

Main lines, low angle first (2θ = 10–90°):
- 28.53 deg, I 1000
- 29.05 deg, I 469
- 35.35 deg, I 148
- 40.01 deg, I 213
- 41.55 deg, I 394
- 50.20 deg, I 181
- 51.17 deg, I 364
- 59.05 deg, I 239

Structure:
```
Rb2PPdF6
1.0
-3.074 3.074 4.507
3.074 -3.074 4.507
3.074 3.074 -4.507
Rb P Pd F
2 1 1 6
Cartesian
3.074 0.000 2.254
0.000 3.074 2.254
0.000 0.000 0.000
0.000 0.000 4.507
0.000 0.000 1.907
1.364 1.364 0.000
1.710 -1.710 4.507
-1.710 1.710 4.507
1.710 1.710 4.507
0.000 0.000 7.107
```

---

What did the fourth record say?
The following is a theoretical powder X-ray diffraction pattern of Rb2PPdF6. It was derived from DFT lattice parameters and positions (PBE), using Cu Kα (λ = 1.5418 Å).
Lines closer than 0.1° are merged.

Main lines, low angle first (2θ = 10–90°):
- 28.53 deg, I 1000
- 29.05 deg, I 469
- 35.35 deg, I 148
- 40.01 deg, I 213
- 41.55 deg, I 394
- 50.20 deg, I 181
- 51.17 deg, I 364
- 59.05 deg, I 239

Structure:
```
Rb2PPdF6
1.0
-3.074 3.074 4.507
3.074 -3.074 4.507
3.074 3.074 -4.507
Rb P Pd F
2 1 1 6
Cartesian
3.074 0.000 2.254
0.000 3.074 2.254
0.000 0.000 0.000
0.000 0.000 4.507
0.000 0.000 1.907
1.364 1.364 0.000
1.710 -1.710 4.507
-1.710 1.710 4.507
1.710 1.710 4.507
0.000 0.000 7.107
```